For Sr5Cr3F19, DFT lattice parameters and positions (PBE+U) gives the simulated PXRD pattern in this record (CuKα).
No peak broadening, texture or thermal motion is included.

Most intense lines, 2θ = 10–90°, most intense first:
2θ/deg	d [Å]	I (rel.)	index
26.09	3.416	100	2 -1 1
29.31	3.047	55	1 -1 3
20.63	4.305	42	2 1 1
28.58	3.124	32	1 -2 2
24.25	3.670	31	1 0 -2
27.05	3.297	30	-1 2 1
29.04	3.075	29	0 1 3
41.93	2.154	26	4 1 2
24.48	3.636	26	2 2 0
30.18	2.961	18	1 3 2

Crystal structure
Cell: 8.727 10.198 10.211 Å, 83.54 71.49 71.71°
Fractional positions:
Sr: 0.000 0.000 0.000
Sr: 0.004 0.532 0.525
Sr: 0.249 0.547 0.120
Sr: 0.341 0.854 0.529
Sr: 0.425 0.367 0.688
Sr: 0.476 0.191 0.289
Sr: 0.528 0.860 0.091
Sr: 0.724 0.970 0.681
Sr: 0.806 0.402 0.961
Sr: 0.912 0.184 0.351
Cr: 0.019 0.711 0.842
Cr: 0.085 0.174 0.641
Cr: 0.285 0.186 0.005
Cr: 0.516 0.641 0.790
Cr: 0.597 0.541 0.290
Cr: 0.809 0.828 0.335
F: 0.011 0.529 0.890
F: 0.022 0.743 0.025
F: 0.040 0.032 0.548
F: 0.070 0.225 0.968
F: 0.105 0.667 0.644
F: 0.141 0.337 0.681
F: 0.168 0.238 0.195
F: 0.202 0.033 0.746
F: 0.244 0.418 0.338
F: 0.264 0.999 0.047
F: 0.269 0.673 0.816
F: 0.279 0.374 0.959
F: 0.304 0.134 0.508
F: 0.376 0.676 0.333
F: 0.392 0.965 0.307
F: 0.437 0.698 0.985
F: 0.440 0.138 0.816
F: 0.496 0.130 0.054
F: 0.513 0.824 0.714
F: 0.528 0.581 0.614
F: 0.530 0.407 0.432
F: 0.533 0.455 0.866
F: 0.539 0.439 0.167
F: 0.646 0.993 0.430
F: 0.648 0.710 0.376
F: 0.686 0.193 0.575
F: 0.687 0.627 0.118
F: 0.745 0.906 0.169
F: 0.759 0.571 0.750
F: 0.771 0.788 0.872
F: 0.781 0.179 0.158
F: 0.823 0.416 0.249
F: 0.851 0.783 0.514
F: 0.879 0.204 0.800
F: 0.969 0.305 0.520
F: 0.974 0.931 0.275
F: 0.984 0.650 0.289
F: 0.989 0.903 0.793